Starting from a crystal structure in the Materials Project, relaxed with PBE, the powder X-ray diffraction pattern of Zr3Sc4N8 was calculated for Cu Ka.
Kinematic intensities with the Lorentz-polarization factor, no thermal factor.

Cell: 3.3010 3.3010 61.6310 Å, 90.00 90.00 120.00°
Space group R-3m (No. 166, hexagonal axes)
Inequivalent atoms, fractional coordinates:
Zr: 0.0000 0.0000 0.0000 x3
Zr: 0.0000 0.0000 0.3768 x6
Sc: 0.0000 0.0000 0.1313 x6
Sc: 0.0000 0.0000 0.2451 x6
N: 0.0000 0.0000 0.0624 x6
N: 0.0000 0.0000 0.1904 x6
N: 0.0000 0.0000 0.3115 x6
N: 0.0000 0.0000 0.4370 x6

Top 8 peaks for 10° ≤ 2θ ≤ 80°, by angle:
- hkl 0 0 21, 30.46 deg, I = 24
- hkl 0 1 5, 32.14 deg, I = 24
- hkl 0 1 8, 33.43 deg, I = 65
- hkl 1 0 13, 36.71 deg, I = 27
- hkl 1 0 16, 39.25 deg, I = 100
- hkl 1 1 0, 55.69 deg, I = 36
- hkl 0 1 32, 57.72 deg, I = 20
- hkl 1 0 37, 64.79 deg, I = 27

---

Starting from a crystal structure in the Materials Project, relaxed with PBE, the powder X-ray diffraction pattern of Zr3Sc4N8 was calculated for Cu Ka.
Kinematic intensities with the Lorentz-polarization factor, no thermal factor.

Cell: 3.5317 3.5317 53.1761 Å, 90.00 90.00 120.00°
Space group R-3m (No. 166, hexagonal axes)
Inequivalent atoms, fractional coordinates:
Zr: 0.0000 0.0000 0.0000 x3
Zr: 0.0000 0.0000 0.3851 x6
Sc: 0.0000 0.0000 0.1454 x6
Sc: 0.0000 0.0000 0.2332 x6
N: 0.0000 0.0000 0.0628 x6
N: 0.0000 0.0000 0.1872 x6
N: 0.0000 0.0000 0.3122 x6
N: 0.0000 0.0000 0.4363 x6

Top 8 peaks for 10° ≤ 2θ ≤ 80°, by angle:
- hkl 0 1 5, 30.41 deg, I = 76
- hkl 0 1 8, 32.22 deg, I = 48
- hkl 0 0 21, 35.45 deg, I = 33
- hkl 1 0 13, 36.69 deg, I = 100
- hkl 1 0 16, 40.06 deg, I = 24
- hkl 1 1 0, 51.77 deg, I = 57
- hkl 0 1 26, 53.93 deg, I = 24
- hkl 1 1 21, 64.31 deg, I = 31

---

Starting from a crystal structure in the Materials Project, relaxed with PBE, the powder X-ray diffraction pattern of SeN was calculated for Cu Ka.
Kinematic intensities with the Lorentz-polarization factor, no thermal factor.

Cell: 9.247 7.904 12.951 Å, 90.00 131.89 90.00°
Space group P2_1/c (No. 14)
Inequivalent atoms, fractional coordinates:
Se: 0.063 0.210 0.153 x4
Se: 0.194 0.708 0.150 x4
Se: 0.299 0.578 0.005 x4
Se: 0.301 0.545 0.534 x4
N: 0.052 0.239 0.512 x4
N: 0.053 0.610 0.843 x4
N: 0.312 0.595 0.676 x4
N: 0.417 0.725 0.530 x4

Top 8 peaks for 10° ≤ 2θ ≤ 80°, by angle:
- hkl 1 1 0, 17.08 deg, I = 89
- hkl 1 1 -2, 17.72 deg, I = 67
- hkl 0 0 2, 18.41 deg, I = 38
- hkl 1 2 0, 26.00 deg, I = 39
- hkl 2 0 -4, 27.58 deg, I = 38
- hkl 1 0 2, 28.85 deg, I = 50
- hkl 2 2 -2, 29.78 deg, I = 100
- hkl 3 3 -2, 45.96 deg, I = 36

---

Starting from a crystal structure in the Materials Project, relaxed with PBE, the powder X-ray diffraction pattern of SeN was calculated for Cu Ka.
Kinematic intensities with the Lorentz-polarization factor, no thermal factor.

Cell: 10.281 10.309 6.797 Å, 90.00 103.93 90.00°
Space group C2/c (No. 15)
Inequivalent atoms, fractional coordinates:
Se: 0.062 0.200 0.072 x8
Se: 0.129 0.395 0.412 x8
N: 0.000 0.103 0.250 x4
N: 0.000 0.492 0.250 x4
N: 0.191 0.299 0.230 x8

Top 8 peaks for 10° ≤ 2θ ≤ 80°, by angle:
- hkl 1 1 0, 12.35 deg, I = 30
- hkl 1 1 -1, 16.61 deg, I = 100
- hkl 2 0 0, 17.78 deg, I = 36
- hkl 1 1 1, 19.80 deg, I = 56
- hkl 2 2 -1, 26.16 deg, I = 38
- hkl 1 3 -1, 29.68 deg, I = 36
- hkl 2 2 1, 30.37 deg, I = 92
- hkl 2 2 -2, 33.59 deg, I = 47